Simulated powder diffractogram of ZnBi12O20 for Cu Kα (weighted mean of Kα1 and Kα2), from a cell relaxed with PBE.

Cell lengths 10.072, 10.072, 10.072 Å; angles 90.00, 90.00, 90.00 degrees
Space group I23 (No. 197)
Symmetry-distinct sites (fractional):
Zn  0.000  0.000  0.000 x2
Bi  0.005  0.316  0.172 x24
O  0.013  0.247  0.632 x24
O  0.115  0.115  0.885 x8
O  0.187  0.187  0.187 x8

Top 6 peaks for 2θ from 5° to 70°, low angle first:
- 2θ = 25.01°, rel. 22
- 2θ = 28.01°, rel. 100
- 2θ = 33.28°, rel. 67
- 2θ = 53.01°, rel. 47
- 2θ = 56.31°, rel. 26
- 2θ = 62.55°, rel. 21

Simulated powder diffractogram of Ta2BiSbOs2 for Cu Kα (weighted mean of Kα1 and Kα2), from a cell relaxed with PBE.

Cell lengths 10.882, 4.438, 10.896 Å; angles 90.00, 109.50, 90.00 degrees
Space group Pm (No. 6)
Symmetry-distinct sites (fractional):
Ta  0.000  0.000  0.000 x1
Ta  0.123  0.500  0.369 x1
Ta  0.250  0.000  0.746 x1
Ta  0.374  0.500  0.121 x1
Ta  0.498  0.000  0.494 x1
Ta  0.625  0.500  0.875 x1
Ta  0.752  0.000  0.245 x1
Ta  0.877  0.500  0.618 x1
Bi  0.125  0.500  0.872 x1
Bi  0.374  0.500  0.621 x1
Bi  0.625  0.500  0.370 x1
Bi  0.751  0.000  0.748 x1
Sb  0.000  0.000  0.494 x1
Sb  0.249  0.000  0.245 x1
Sb  0.500  0.000  0.997 x1
Sb  0.875  0.500  0.121 x1
Os  0.002  0.000  0.741 x1
Os  0.123  0.500  0.124 x1
Os  0.246  0.000  0.492 x1
Os  0.379  0.500  0.875 x1
Os  0.495  0.000  0.242 x1
Os  0.624  0.500  0.620 x1
Os  0.751  0.000  0.002 x1
Os  0.878  0.500  0.369 x1

Top 6 peaks for 2θ from 5° to 70°, low angle first:
- 2θ = 24.54°, rel. 31
- 2θ = 28.41°, rel. 11
- 2θ = 40.62°, rel. 100
- 2θ = 48.03°, rel. 15
- 2θ = 58.79°, rel. 17
- 2θ = 64.64°, rel. 4

Simulated powder diffractogram of Bi8Os2Se for Cu Kα (weighted mean of Kα1 and Kα2), from a cell relaxed with PBE.

Cell lengths 10.778, 10.778, 10.484 Å; angles 90.00, 90.00, 90.00 degrees
Space group P4_2/mnm (No. 136)
Symmetry-distinct sites (fractional):
Bi  0.000  0.000  0.217 x4
Bi  0.044  0.296  0.319 x16
Bi  0.112  0.888  0.500 x4
Bi  0.154  0.846  0.000 x4
Bi  0.176  0.176  0.000 x4
Os  0.213  0.787  0.264 x8
Se  0.000  0.500  0.000 x4

Top 6 peaks for 2θ from 5° to 70°, low angle first:
- 2θ = 31.30°, rel. 92
- 2θ = 31.62°, rel. 100
- 2θ = 34.27°, rel. 60
- 2θ = 35.33°, rel. 54
- 2θ = 37.53°, rel. 64
- 2θ = 38.48°, rel. 62